(1)
Starting from a cell relaxed with GGA-PBE, the PXRD pattern of La2AlPdSe5 was calculated for a wavelength of 1.5418 Å.
Neutral-atom scattering factors, no anomalous dispersion.

Main lines, in order of rising 2θ (2θ = 15–90°):
- 26.82 deg, I 200, hkl 1 1 2
- 29.71 deg, I 218, hkl 0 4 3
- 30.25 deg, I 860, hkl 0 6 1
- 31.66 deg, I 1000, hkl 1 1 3
- 32.86 deg, I 288, hkl 1 5 0
- 36.19 deg, I 579, hkl 1 5 2
- 38.80 deg, I 202, hkl 0 2 5
- 40.04 deg, I 261, hkl 1 5 3
- 44.02 deg, I 171, hkl 1 1 5
- 44.27 deg, I 377, hkl 2 0 0

Cell: 4.0919 18.2761 11.9985 Å, 90.00 90.00 90.00°
Space group Cmc2_1 (No. 36)
Inequivalent atoms, fractional coordinates:
La 0.0000 0.1219 0.0000 x4
La 0.0000 0.1237 0.3837 x4
Al 0.0000 0.4212 0.1599 x4
Pd 0.0000 0.2442 0.7716 x4
Se 0.0000 0.0403 0.7604 x4
Se 0.0000 0.2978 0.3627 x4
Se 0.0000 0.3109 0.0529 x4
Se 0.0000 0.3693 0.6905 x4
Se 0.0000 0.4927 0.9850 x4


(2)
Starting from a cell relaxed with GGA-PBE, the PXRD pattern of LiAg6Pt2 was calculated for a wavelength of 1.5418 Å.
Neutral-atom scattering factors, no anomalous dispersion.

Main lines, in order of rising 2θ (2θ = 15–90°):
- 24.95 deg, I 85, hkl 1 1 -1
- 38.31 deg, I 1000, hkl 3 1 0
- 43.65 deg, I 172, hkl 0 2 0
- 44.18 deg, I 165, hkl 2 0 3
- 45.76 deg, I 149, hkl 4 0 -3
- 63.85 deg, I 107, hkl 2 2 3
- 65.08 deg, I 101, hkl 4 2 -3
- 76.60 deg, I 126, hkl 3 3 0
- 77.35 deg, I 125, hkl 5 1 3
- 79.63 deg, I 115, hkl 7 1 -3

Cell: 8.9350 4.1475 8.5492 Å, 90.00 106.68 90.00°
Space group C2/m (No. 12)
Inequivalent atoms, fractional coordinates:
Li 0.0000 0.0000 0.0000 x2
Ag 0.0014 0.0000 0.6747 x4
Ag 0.1671 0.5000 0.8927 x4
Ag 0.1678 0.5000 0.5569 x4
Pt 0.1657 0.5000 0.2195 x4